Diffraction record for Mo3P3O16. The powder X-ray diffraction pattern is simulated, not measured: it uses a structure optimized by DFT (GGA+U) and copper Kα.

Crystal structure
```
Mo3P3O16
1.0
6.543 0.000 0.000
1.154 7.853 0.000
2.709 1.898 12.349
Mo P O
6 6 32
direct
0.039 0.201 0.152
0.198 0.211 0.531
0.399 0.757 0.165
0.601 0.243 0.835
0.802 0.789 0.469
0.961 0.799 0.848
0.050 0.491 0.316
0.311 0.850 0.427
0.437 0.845 0.893
0.563 0.155 0.107
0.689 0.150 0.573
0.950 0.509 0.684
0.029 0.637 0.741
0.068 0.294 0.020
0.118 0.757 0.479
0.130 0.980 0.153
0.143 0.403 0.628
0.165 0.043 0.636
0.173 0.616 0.219
0.202 0.402 0.389
0.268 0.047 0.415
0.269 0.817 0.830
0.347 0.236 0.159
0.372 0.761 0.013
0.383 0.810 0.306
0.393 0.398 0.836
0.434 0.042 0.892
0.489 0.774 0.487
0.511 0.226 0.513
0.566 0.958 0.108
0.607 0.602 0.164
0.617 0.190 0.694
0.628 0.239 0.987
0.653 0.764 0.841
0.731 0.183 0.170
0.732 0.953 0.585
0.798 0.598 0.611
0.827 0.384 0.781
0.835 0.957 0.364
0.857 0.597 0.372
0.870 0.020 0.847
0.882 0.243 0.521
0.932 0.706 0.980
0.971 0.363 0.259
```

The 6 most intense peaks (15 to 90 degrees two-theta), low angle first:
d (Å)  intensity  (hkl)
4.614  73  1 1 2
4.410  87  1 1 -1
4.297  65  -1 1 1
4.116  100  0 0 3
3.881  92  0 2 0
3.068  73  0 2 3